The following is a theoretical PXRD pattern of LaAg2Ir. It was derived from DFT lattice parameters and positions (GGA-PBE), using Cu Ka.
Intensities are scaled so that the largest is 100.

Peak list (10 most intense, 2θ = 5–70°, most intense first)
| d_spacing | 2theta | Rel. int. | h k l |
| --- | --- | --- | --- |
| 2.731 | 32.80 | 100 | 1 1 1 |
| 2.247 | 40.14 | 57 | 1 1 3 |
| 2.796 | 32.01 | 27 | 0 0 4 |
| 2.281 | 39.50 | 27 | 1 0 4 |
| 2.009 | 45.13 | 20 | 0 2 0 |
| 1.973 | 46.00 | 19 | 2 0 0 |
| 1.508 | 61.51 | 14 | 1 2 4 |
| 5.591 | 15.85 | 13 | 0 0 2 |
| 1.408 | 66.41 | 12 | 2 2 0 |
| 1.484 | 62.57 | 11 | 0 1 7 |

Cell and atoms:
Unit cell a=3.9463 b=4.0178 c=11.1826 alpha=90.00 beta=90.00 gamma=90.00
Fractional coordinates of all 8 atoms:
1 La 0.0000 0.0000 0.0000
2 La 0.0000 0.5000 0.5000
3 Ag 0.0000 0.0000 0.7274
4 Ag 0.0000 0.5000 0.2274
5 Ag 0.5000 0.0000 0.2942
6 Ag 0.5000 0.5000 0.7942
7 Ir 0.5000 0.0000 0.5533
8 Ir 0.5000 0.5000 0.0533

The following is a theoretical PXRD pattern of La6AgIr3. It was derived from DFT lattice parameters and positions (GGA-PBE), using Cu Ka.
Intensities are scaled so that the largest is 100.

Peak list (10 most intense, 2θ = 5–70°, most intense first)
| d_spacing | 2theta | Rel. int. | h k l |
| --- | --- | --- | --- |
| 2.874 | 31.12 | 100 | 0 1 3 |
| 2.142 | 42.18 | 96 | 0 2 0 |
| 3.135 | 28.47 | 91 | 1 1 2 |
| 3.027 | 29.51 | 74 | 4 0 -2 |
| 6.077 | 14.58 | 60 | 1 0 -2 |
| 2.405 | 37.39 | 51 | 0 1 4 |
| 3.666 | 24.28 | 49 | 1 1 1 |
| 2.226 | 40.53 | 43 | 4 1 1 |
| 2.632 | 34.07 | 43 | 3 1 1 |
| 2.358 | 38.17 | 41 | 3 1 -4 |

Cell and atoms:
Unit cell a=12.2789 b=4.2844 c=12.3507 alpha=90.00 beta=109.76 gamma=90.00
Fractional coordinates of all 20 atoms:
1 La 0.0424 0.2500 0.3730
2 La 0.0982 0.7500 0.9525
3 La 0.2401 0.2500 0.7891
4 La 0.2605 0.7500 0.2712
5 La 0.4118 0.2500 0.5699
6 La 0.4473 0.2500 0.1074
7 La 0.5527 0.7500 0.8926
8 La 0.5882 0.7500 0.4301
9 La 0.7395 0.2500 0.7288
10 La 0.7599 0.7500 0.2109
11 La 0.9018 0.2500 0.0475
12 La 0.9576 0.7500 0.6270
13 Ag 0.2025 0.7500 0.5638
14 Ag 0.7975 0.2500 0.4362
15 Ir 0.0009 0.7500 0.2048
16 Ir 0.3323 0.7500 0.9507
17 Ir 0.4210 0.2500 0.3399
18 Ir 0.5790 0.7500 0.6601
19 Ir 0.6677 0.2500 0.0493
20 Ir 0.9991 0.2500 0.7952

The following is a theoretical PXRD pattern of La8Ag2Ir3. It was derived from DFT lattice parameters and positions (GGA-PBE), using Cu Ka.
Intensities are scaled so that the largest is 100.

Peak list (10 most intense, 2θ = 5–70°, most intense first)
| d_spacing | 2theta | Rel. int. | h k l |
| --- | --- | --- | --- |
| 2.694 | 33.26 | 100 | 1 1 -3 |
| 2.512 | 35.74 | 65 | 3 1 -1 |
| 7.252 | 12.20 | 49 | 1 0 -1 |
| 2.393 | 37.59 | 48 | 0 2 0 |
| 3.411 | 26.12 | 29 | 0 1 2 |
| 2.965 | 30.14 | 25 | 2 0 2 |
| 2.475 | 36.30 | 23 | 2 1 -3 |
| 3.994 | 22.26 | 21 | 1 1 -1 |
| 4.298 | 20.67 | 21 | 0 1 1 |
| 2.644 | 33.90 | 20 | 3 0 1 |

Cell and atoms:
Unit cell a=8.8998 b=4.7859 c=9.9256 alpha=90.00 beta=101.52 gamma=90.00
Fractional coordinates of all 13 atoms:
1 La 0.0316 0.0000 0.3306
2 La 0.1628 0.5000 0.9207
3 La 0.3163 0.5000 0.6090
4 La 0.4063 0.0000 0.1461
5 La 0.5937 0.0000 0.8539
6 La 0.6837 0.5000 0.3910
7 La 0.8372 0.5000 0.0793
8 La 0.9684 0.0000 0.6694
9 Ag 0.2398 0.5000 0.2638
10 Ag 0.7602 0.5000 0.7362
11 Ir 0.0000 0.5000 0.5000
12 Ir 0.2844 0.0000 0.8162
13 Ir 0.7156 0.0000 0.1838

The following is a theoretical PXRD pattern of LiAgIr2. It was derived from DFT lattice parameters and positions (GGA-PBE), using Cu Ka.
Intensities are scaled so that the largest is 100.

Peak list (10 most intense, 2θ = 5–70°, most intense first)
| d_spacing | 2theta | Rel. int. | h k l |
| --- | --- | --- | --- |
| 2.225 | 40.54 | 100 | 1 0 4 |
| 1.951 | 46.54 | 65 | 0 1 8 |
| 4.688 | 18.93 | 59 | 0 0 6 |
| 2.344 | 38.40 | 35 | 0 0 12 |
| 2.314 | 38.92 | 31 | 0 1 2 |
| 9.376 | 9.43 | 23 | 0 0 3 |
| 1.354 | 69.39 | 21 | 1 1 0 |
| 1.407 | 66.46 | 19 | 1 0 16 |
| 3.125 | 28.56 | 16 | 0 0 9 |
| 1.801 | 50.67 | 13 | 1 0 10 |

Cell and atoms:
Unit cell a=2.7086 b=2.7086 c=28.1283 alpha=90.00 beta=90.00 gamma=120.00
Fractional coordinates of all 12 atoms:
1 Li 0.0000 0.0000 0.0000
2 Li 0.3333 0.6667 0.6667
3 Li 0.6667 0.3333 0.3333
4 Ag 0.0000 0.0000 0.5000
5 Ag 0.3333 0.6667 0.1667
6 Ag 0.6667 0.3333 0.8333
7 Ir 0.0000 0.0000 0.2549
8 Ir 0.0000 0.0000 0.7451
9 Ir 0.3333 0.6667 0.4118
10 Ir 0.3333 0.6667 0.9215
11 Ir 0.6667 0.3333 0.0785
12 Ir 0.6667 0.3333 0.5882

The following is a theoretical PXRD pattern of AgMoIr2. It was derived from DFT lattice parameters and positions (GGA-PBE), using Cu Ka.
Intensities are scaled so that the largest is 100.

Peak list (10 most intense, 2θ = 5–70°, most intense first)
| d_spacing | 2theta | Rel. int. | h k l |
| --- | --- | --- | --- |
| 2.294 | 39.27 | 100 | 1 0 2 |
| 1.992 | 45.54 | 34 | 1 1 0 |
| 1.403 | 66.65 | 18 | 1 1 4 |
| 1.977 | 45.90 | 14 | 0 0 4 |
| 1.408 | 66.37 | 11 | 2 0 0 |
| 2.817 | 31.77 | 7 | 1 0 0 |
| 3.954 | 22.49 | 7 | 0 0 2 |
| 1.779 | 51.37 | 4 | 1 1 2 |
| 1.379 | 67.97 | 3 | 1 0 5 |
| 1.925 | 47.22 | 3 | 1 0 3 |

Cell and atoms:
Unit cell a=2.8168 b=2.8168 c=7.9083 alpha=90.00 beta=90.00 gamma=90.00
Fractional coordinates of all 4 atoms:
1 Ag 0.0000 0.0000 0.0000
2 Mo 0.0000 0.0000 0.5000
3 Ir 0.5000 0.5000 0.2702
4 Ir 0.5000 0.5000 0.7298

The following is a theoretical PXRD pattern of Ag2IrNO. It was derived from DFT lattice parameters and positions (GGA-PBE), using Cu Ka.
Intensities are scaled so that the largest is 100.

Peak list (10 most intense, 2θ = 5–70°, most intense first)
| d_spacing | 2theta | Rel. int. | h k l |
| --- | --- | --- | --- |
| 2.513 | 35.74 | 100 | 1 1 1 |
| 4.842 | 18.32 | 57 | 1 0 0 |
| 2.421 | 37.14 | 52 | 2 0 0 |
| 1.415 | 66.04 | 32 | 3 1 1 |
| 2.939 | 30.41 | 22 | 1 0 1 |
| 1.470 | 63.28 | 21 | 2 0 2 |
| 1.712 | 53.53 | 18 | 2 2 0 |
| 2.165 | 41.71 | 14 | 2 1 0 |
| 1.869 | 48.73 | 13 | 2 1 1 |
| 1.849 | 49.28 | 11 | 0 0 2 |

Cell and atoms:
Unit cell a=4.8421 b=4.8421 c=3.6985 alpha=90.00 beta=90.00 gamma=90.00
Fractional coordinates of all 5 atoms:
1 Ag 0.0000 0.5000 0.0000
2 Ag 0.5000 0.0000 0.0000
3 Ir 0.0000 0.0000 0.5000
4 N 0.5000 0.5000 0.5000
5 O 0.0000 0.0000 0.0000